Computed X-ray diffraction stick pattern
Compound: PtRh
Radiation: Cu Ka
Structure: a DFT-relaxed cell (PBE, Alexandria)

Crystal structure
```
PtRh
1.0
2.7328 0.0000 0.0000
1.3582 4.4783 0.0000
1.3595 0.4339 5.0220
Pt Rh
2 2
Direct
0.0722 0.2179 0.1412
0.9278 0.7821 0.8588
0.3119 0.2668 0.6087
0.6881 0.7332 0.3913
```

Main lines, in order of falling intensity (10 to 90 degrees two-theta):
| Position (°2θ) | I_rel | index |
| --- | --- | --- |
| 39.64 | 100 | 0 1 2 |
| 40.43 | 84 | 0 2 0 |
| 44.52 | 79 | 1 0 2 |
| 45.45 | 72 | 1 -1 0 |
| 42.82 | 70 | 0 1 -2 |
| 35.72 | 59 | 1 1 0 |
| 35.27 | 55 | 1 1 1 |
| 43.39 | 36 | 1 0 -1 |
| 27.87 | 36 | 0 1 -1 |
| 70.83 | 32 | 0 3 2 |
| 46.54 | 25 | 1 2 0 |
| 84.44 | 22 | 2 2 -1 |

Computed X-ray diffraction stick pattern
Compound: Ac3Tb2Sm
Radiation: Cu Ka
Structure: a DFT-relaxed cell (PBE, Alexandria)

Crystal structure
```
Ac3Tb2Sm
1.0
6.5927 0.0000 0.0000
-2.2675 6.1946 0.0000
-2.1563 -3.0779 11.3534
Ac Tb Sm
6 4 2
Direct
0.0405 0.2911 0.0835
0.2920 0.0433 0.5836
0.3767 0.6264 0.7499
0.6233 0.3736 0.2501
0.7080 0.9567 0.4164
0.9595 0.7089 0.9165
0.2073 0.4583 0.4174
0.4589 0.2101 0.9172
0.5411 0.7899 0.0828
0.7927 0.5417 0.5826
0.1236 0.8735 0.2498
0.8764 0.1265 0.7502
```

Main lines, in order of falling intensity (10 to 90 degrees two-theta):
| Position (°2θ) | I_rel | index |
| --- | --- | --- |
| 28.82 | 100 | 2 0 -1 |
| 33.52 | 34 | 1 1 2 |
| 47.86 | 25 | 3 -1 2 |
| 57.05 | 23 | 3 1 1 |
| 33.15 | 17 | 2 -2 0 |
| 56.58 | 16 | 3 -3 3 |
| 48.13 | 12 | 0 0 6 |
| 59.67 | 10 | 2 -2 6 |
| 57.14 | 8 | 3 1 -5 |
| 77.36 | 6 | 4 -2 5 |
| 77.44 | 6 | 5 -1 1 |
| 79.47 | 6 | 5 -3 2 |